Theoretical XRD peak list
Compound: ZnH8C4O8
Radiation: Cu Kα (λ = 1.5418 Å)
Structure: the PBE geometry in the Materials Project

Principal peaks in the range 10 to 80 degrees two-theta, in order of falling intensity:
- 16.51 deg, rel. 100
- 26.47 deg, rel. 85
- 25.03 deg, rel. 54
- 18.91 deg, rel. 52
- 36.84 deg, rel. 45
- 11.88 deg, rel. 39
- 13.19 deg, rel. 36
- 33.36 deg, rel. 36

Cell and atoms:
```
data_ZnH8C4O8
_space_group_name_H-M_alt 'C 1 2/c 1'
_space_group_IT_number 15
_space_group_name_Hall '-C 2yc'
_cell_length_a 9.0753
_cell_length_b 13.4296
_cell_length_c 6.8277
_cell_angle_alpha 90.00
_cell_angle_beta 99.32
_cell_angle_gamma 90.00
loop_
_atom_site_label
_atom_site_fract_x
_atom_site_fract_y
_atom_site_fract_z
Zn1 0.2500 0.2500 0.0000
H1 0.0958 0.2457 0.6196
H2 0.1405 0.1237 0.2413
H3 0.1531 0.0635 0.0475
H4 0.2078 0.1522 0.6280
C1 0.0260 0.4248 0.9956
C2 0.1124 0.4816 0.5025
O1 0.0519 0.3324 0.9894
O2 0.1218 0.1292 0.0962
O3 0.1817 0.2120 0.7001
O4 0.2478 0.4582 0.5039
```